No. 1
For Ca8CdN4, DFT lattice parameters and positions (GGA-PBE) gives the calculated PXRD pattern in this record (copper Kα).

Structure:
Cell: 9.1061 9.1061 9.1061 Å, 92.26 92.26 157.09°
Positions (direct):
Ca 0.0423 0.3349 0.3772
Ca 0.3027 0.3463 0.6491
Ca 0.3349 0.9577 0.2926
Ca 0.3463 0.6973 0.0436
Ca 0.6537 0.3027 0.9564
Ca 0.6651 0.0423 0.7074
Ca 0.6973 0.6537 0.3509
Ca 0.9577 0.6651 0.6228
Cd 0.0000 0.0000 0.0000
N 0.1544 0.6682 0.8226
N 0.3318 0.1544 0.4862
N 0.6682 0.8456 0.5138
N 0.8456 0.3318 0.1774

The 10 most intense peaks (2θ = 10–90°), sorted by position:
2theta, I (rel.)
22.27, 26.8
29.33, 13.8
30.04, 36.9
31.70, 20.2
32.65, 100.0
36.29, 17.4
43.00, 16.4
46.15, 11.3
52.90, 22.6
55.02, 17.0

No. 2
For Ca4CdN2, DFT lattice parameters and positions (GGA-PBE) gives the calculated PXRD pattern in this record (copper Kα).

Structure:
Cell: 6.4848 6.4848 13.1840 Å, 90.00 90.00 146.29°
Positions (direct):
Ca 0.0000 0.0000 0.0000
Ca 0.0000 0.0000 0.5000
Ca 0.2520 0.7480 0.5921
Ca 0.2520 0.7480 0.9079
Ca 0.4123 0.5877 0.2500
Ca 0.5877 0.4123 0.7500
Ca 0.7480 0.2520 0.0921
Ca 0.7480 0.2520 0.4079
Cd 0.1199 0.8801 0.2500
Cd 0.8801 0.1199 0.7500
N 0.3631 0.6369 0.0644
N 0.3631 0.6369 0.4356
N 0.6369 0.3631 0.5644
N 0.6369 0.3631 0.9356

The 10 most intense peaks (2θ = 10–90°), sorted by position:
2theta, I (rel.)
15.78, 35.9
24.80, 46.9
27.05, 24.8
30.71, 29.0
31.87, 63.2
32.15, 86.2
32.89, 100.0
35.00, 41.9
47.50, 26.8
61.55, 28.6

No. 3
For Ca3CdN, DFT lattice parameters and positions (GGA-PBE) gives the calculated PXRD pattern in this record (copper Kα).

Structure:
Cell: 7.5083 7.5083 7.5083 Å, 53.74 53.74 53.74°
Positions (direct):
Ca 0.0779 0.5780 0.5780
Ca 0.4220 0.4220 0.9221
Ca 0.4220 0.9221 0.4220
Ca 0.5780 0.0779 0.5780
Ca 0.5780 0.5780 0.0779
Ca 0.9221 0.4220 0.4220
Cd 0.1091 0.1091 0.1091
Cd 0.8909 0.8909 0.8909
N 0.3321 0.3321 0.3321
N 0.6679 0.6679 0.6679

The 10 most intense peaks (2θ = 10–90°), sorted by position:
2theta, I (rel.)
23.92, 46.4
26.26, 29.6
27.74, 24.9
27.86, 35.5
30.78, 100.0
35.82, 44.6
38.57, 65.1
50.51, 24.0
54.04, 31.4
61.86, 28.3

No. 4
For SrCa2CdN, DFT lattice parameters and positions (GGA-PBE) gives the calculated PXRD pattern in this record (copper Kα).

Structure:
Cell: 4.9453 4.9453 5.3642 Å, 90.00 90.00 90.00°
Positions (direct):
Sr 0.0000 0.0000 0.0000
Ca 0.0000 0.5000 0.5000
Ca 0.5000 0.0000 0.5000
Cd 0.5000 0.5000 0.0000
N 0.0000 0.0000 0.5000

The 10 most intense peaks (2θ = 10–90°), sorted by position:
2theta, I (rel.)
16.53, 14.1
25.47, 18.2
30.52, 100.0
33.41, 23.7
36.33, 37.4
50.18, 28.1
52.33, 12.3
57.93, 15.3
61.79, 25.0
63.52, 13.3

No. 5
For Na2CaCd8, DFT lattice parameters and positions (GGA-PBE) gives the calculated PXRD pattern in this record (copper Kα).

Structure:
Cell: 5.8925 5.9509 7.8355 Å, 93.52 93.66 100.48°
Positions (direct):
Na 0.1252 0.1582 0.3508
Na 0.8748 0.8418 0.6492
Ca 0.5000 0.5000 0.0000
Cd 0.0246 0.6185 0.1965
Cd 0.2321 0.9430 0.9643
Cd 0.3157 0.6090 0.5935
Cd 0.4720 0.1300 0.6762
Cd 0.5280 0.8700 0.3238
Cd 0.6843 0.3910 0.4065
Cd 0.7679 0.0570 0.0357
Cd 0.9754 0.3815 0.8035

The 10 most intense peaks (2θ = 10–90°), sorted by position:
2theta, I (rel.)
19.50, 51.7
19.67, 49.3
19.81, 53.9
34.13, 89.2
34.39, 82.1
34.69, 83.1
36.80, 100.0
37.08, 54.5
37.29, 52.2
37.75, 48.8

No. 6
For NaCa7Cd4, DFT lattice parameters and positions (GGA-PBE) gives the calculated PXRD pattern in this record (copper Kα).

Structure:
Cell: 8.1324 8.1324 10.7343 Å, 121.61 121.61 42.38°
Positions (direct):
Na 0.0000 0.0000 0.0000
Ca 0.0697 0.0697 0.3890
Ca 0.2148 0.2148 0.8828
Ca 0.2959 0.2959 0.3471
Ca 0.5000 0.5000 0.0000
Ca 0.7041 0.7041 0.6529
Ca 0.7852 0.7852 0.1172
Ca 0.9303 0.9303 0.6110
Cd 0.3149 0.3149 0.6604
Cd 0.4501 0.4501 0.2439
Cd 0.5499 0.5499 0.7561
Cd 0.6851 0.6851 0.3396

The 10 most intense peaks (2θ = 10–90°), sorted by position:
2theta, I (rel.)
16.65, 62.2
16.77, 27.6
20.00, 22.2
22.82, 30.8
27.45, 20.6
30.41, 68.5
32.16, 56.9
34.46, 21.5
34.78, 100.0
56.89, 22.5

No. 7
For Na2CaCd10, DFT lattice parameters and positions (GGA-PBE) gives the calculated PXRD pattern in this record (copper Kα).

Structure:
Cell: 6.7879 20.0890 5.9752 Å, 90.00 90.00 90.00°
Positions (direct):
Na 0.1610 0.1828 0.0000
Na 0.3390 0.6828 0.0000
Na 0.6610 0.3172 0.0000
Na 0.8390 0.8172 0.0000
Ca 0.0000 0.5000 0.5000
Ca 0.5000 0.0000 0.5000
Cd 0.0349 0.7718 0.5000
Cd 0.0502 0.9326 0.5000
Cd 0.1629 0.3528 0.2332
Cd 0.1629 0.3528 0.7668
Cd 0.1993 0.6402 0.5000
Cd 0.3007 0.1402 0.5000
Cd 0.3371 0.8528 0.2332
Cd 0.3371 0.8528 0.7668
Cd 0.4498 0.4326 0.5000
Cd 0.4651 0.2718 0.5000
Cd 0.5349 0.7282 0.5000
Cd 0.5502 0.5674 0.5000
Cd 0.6629 0.1472 0.2332
Cd 0.6629 0.1472 0.7668
Cd 0.6993 0.8598 0.5000
Cd 0.8007 0.3598 0.5000
Cd 0.8371 0.6472 0.2332
Cd 0.8371 0.6472 0.7668
Cd 0.9498 0.0674 0.5000
Cd 0.9651 0.2282 0.5000

The 10 most intense peaks (2θ = 10–90°), sorted by position:
2theta, I (rel.)
14.83, 100.0
15.76, 16.9
17.66, 26.2
30.62, 24.9
31.82, 23.7
33.95, 76.7
34.60, 15.1
37.19, 23.8
40.47, 32.1
42.69, 17.0

No. 8
For NaCa2Cd3, DFT lattice parameters and positions (GGA-PBE) gives the calculated PXRD pattern in this record (copper Kα).

Structure:
Cell: 5.3955 5.3955 13.1819 Å, 90.00 90.00 120.00°
Positions (direct):
Na 0.3333 0.6667 0.1685
Na 0.6667 0.3333 0.8315
Ca 0.0000 0.0000 0.0000
Ca 0.0000 0.0000 0.5000
Ca 0.3333 0.6667 0.6683
Ca 0.6667 0.3333 0.3317
Cd 0.0000 0.0000 0.2490
Cd 0.0000 0.0000 0.7510
Cd 0.3333 0.6667 0.4179
Cd 0.3333 0.6667 0.9186
Cd 0.6667 0.3333 0.0814
Cd 0.6667 0.3333 0.5821

The 10 most intense peaks (2θ = 10–90°), sorted by position:
2theta, I (rel.)
23.34, 32.6
33.24, 100.0
41.01, 10.1
47.72, 17.3
53.77, 13.5
59.36, 26.0
59.48, 8.6
69.71, 5.2
69.85, 5.2
79.52, 14.3